Starting from a DFT-relaxed cell (PBE+U, OQMD), the PXRD pattern of Er2CoB2O6 was simulated for Cu Kα (weighted mean of Kα1 and Kα2).
Peak positions follow from Bragg's law for the DFT cell and can differ from measured ones.

Cell and atoms:
```
Er2CoB2O6
1.0
4.295 -2.434 0.000
4.295 2.434 0.000
-2.865 0.000 5.212
Er Co B O
2 1 2 6
direct
0.211 0.211 0.211 Er
0.789 0.789 0.789 Er
0.000 0.000 0.500 Co
0.467 0.467 0.737 B
0.533 0.533 0.263 B
0.191 0.682 0.167 O
0.283 0.283 0.640 O
0.318 0.809 0.833 O
0.682 0.191 0.167 O
0.717 0.717 0.360 O
0.809 0.318 0.833 O
```

The 12 most intense peaks (2θ = 10–90°), low angle first:
2θ 21.74, I 29
2θ 23.64, I 32
2θ 23.89, I 100
2θ 30.93, I 41
2θ 31.14, I 90
2θ 34.42, I 27
2θ 36.40, I 72
2θ 36.93, I 39
2θ 42.49, I 25
2θ 44.32, I 28
2θ 48.91, I 46
2θ 51.49, I 29